Starting from the PBE+U geometry in Alexandria, the powder diffraction line list of HoCrGeO5 was calculated for CuKα.
Neutral-atom scattering factors, no anomalous dispersion.

Atomic structure:
```
data_HoCrGeO5
_cell_length_a 7.401
_cell_length_b 8.484
_cell_length_c 5.794
_cell_angle_alpha 90.00
_cell_angle_beta 90.00
_cell_angle_gamma 90.00
_space_group_name_H-M_alt 'P b a m'
_space_group_IT_number 55
_space_group_name_Hall '-P 2 2ab'
loop_
_atom_site_label
_atom_site_fract_x
_atom_site_fract_y
_atom_site_fract_z
Ho1 0.144 0.174 0.000
Cr1 0.000 0.500 0.250
Ge1 0.115 0.855 0.500
O1 0.000 0.000 0.287
O2 0.109 0.718 0.249
O3 0.159 0.422 0.500
O4 0.171 0.443 0.000
```

Most intense lines, 2θ from 10° to 90°, sorted by position:
2θ/deg, Rel. int.
15.29, 23
28.74, 73
30.54, 100
33.93, 31
34.90, 22
53.57, 25
54.69, 20
59.04, 23